Diffraction record for Li2TiNi2O5. The powder X-ray diffraction pattern is computed, not measured: it uses the GGA+U geometry in Alexandria and copper Kα.
Kinematic intensities with the Lorentz-polarization factor, no thermal factor.

Largest 10 diffraction maxima, low angle first, 2θ = 15–90°:
2θ = 15.29°, rel. 46.7
2θ = 22.52°, rel. 72.6
2θ = 24.06°, rel. 36.2
2θ = 26.56°, rel. 31.5
2θ = 37.45°, rel. 95.4
2θ = 42.62°, rel. 100.0
2θ = 43.69°, rel. 91.5
2θ = 44.21°, rel. 91.0
2θ = 63.09°, rel. 52.5
2θ = 63.91°, rel. 49.8

Cell and atoms:
abc: 7.8543 7.8543 5.9400
angles: 102.20 102.20 30.24
Sites, in units of the cell vectors:
Li  0.0000  0.0000  0.0000
Li  0.0000  0.0000  0.5000
Li  0.1932  0.1932  0.1147
Li  0.8068  0.8068  0.8853
Ti  0.3964  0.3964  0.1848
Ti  0.6036  0.6036  0.8152
Ni  0.2008  0.2008  0.6057
Ni  0.4025  0.4025  0.6956
Ni  0.5975  0.5975  0.3044
Ni  0.7992  0.7992  0.3943
O  0.1006  0.1006  0.8044
O  0.1057  0.1057  0.3162
O  0.3065  0.3065  0.3818
O  0.3088  0.3088  0.9148
O  0.5000  0.5000  0.0000
O  0.5000  0.5000  0.5000
O  0.6912  0.6912  0.0852
O  0.6935  0.6935  0.6182
O  0.8943  0.8943  0.6838
O  0.8994  0.8994  0.1956